Structure and calculated X-ray diffraction stick pattern of CoIr2Rh8 (a DFT-relaxed cell (PBE, Alexandria); Cu Kα (weighted mean of Kα1 and Kα2)).
Intensities are scaled so that the largest is 100.

The 8 most intense peaks (15° ≤ 2θ ≤ 90°), most intense first:
2θ (°)  I/Imax
42.20  100
41.46  90
43.26  47
43.81  39
63.26  26
86.68  25
36.06  20
21.24  18

Structure:
```
CoIr2Rh8
1.0
3.9580 -4.9854 0.0000
3.9580 4.9854 0.0000
0.0000 0.0000 4.1824
Co Ir Rh
1 2 8
Direct
0.0000 0.0000 0.0000
0.3752 0.6248 0.5000
0.6248 0.3752 0.5000
0.0332 0.2971 0.5000
0.2425 0.7575 0.0000
0.2971 0.0332 0.5000
0.3302 0.3302 0.0000
0.6698 0.6698 0.0000
0.7029 0.9668 0.5000
0.7575 0.2425 0.0000
0.9668 0.7029 0.5000
```